Record 1
Diffraction record for Li2VP2O8. The powder diffractogram is calculated, not measured: it uses a crystal structure in the Materials Project, relaxed with PBE+U and Cu Ka.
Intensities are scaled so that the largest is 100.

Structural model:
```
data_Li2VP2O8
_chemical_formula_sum 'Li8 V4 P8 O32'
_cell_length_a 4.883
_cell_length_b 8.799
_cell_length_c 14.780
_cell_angle_alpha 87.44
_cell_angle_beta 80.74
_cell_angle_gamma 74.10
_symmetry_space_group_name_H-M 'P -1'
_symmetry_Int_Tables_number 2
loop_
_symmetry_equiv_pos_as_xyz
'x,y,z'
'-x,-y,-z'
loop_
_atom_site_label
_atom_site_fract_x
_atom_site_fract_y
_atom_site_fract_z
Li1 0.086 0.065 0.254
Li2 0.164 0.184 0.995
Li3 0.336 0.318 0.505
Li4 0.413 0.434 0.244
V1 0.000 0.000 0.500
V2 0.251 0.250 0.750
V3 0.500 0.500 0.000
P1 0.024 0.591 0.859
P2 0.225 0.661 0.391
P3 0.275 0.840 0.109
P4 0.475 0.910 0.642
O1 0.004 0.545 0.201
O2 0.028 0.257 0.192
O3 0.052 0.855 0.200
O4 0.088 0.293 0.637
O5 0.164 0.959 0.614
O6 0.199 0.395 0.050
O7 0.224 0.992 0.058
O8 0.246 0.704 0.048
O9 0.256 0.797 0.450
O10 0.274 0.509 0.443
O11 0.296 0.105 0.448
O12 0.336 0.544 0.886
O13 0.413 0.207 0.865
O14 0.448 0.645 0.300
O15 0.476 0.244 0.308
O16 0.496 0.955 0.297
```

Top 12 peaks for 2θ from 5° to 70°, most intense first:
two_theta  I (rel.)  index
24.31  100  0 2 2
12.09  90  0 1 -1
24.38  48  1 0 3
36.82  24  -1 1 4
32.42  21  1 2 -3
32.33  17  0 3 1
66.53  12  3 3 6
44.69  10  2 3 -1
36.99  9  1 2 5
38.87  9  2 0 2
44.52  9  -1 3 2
63.56  9  1 6 1

Record 2
Diffraction record for Li2VPO5. The powder diffractogram is calculated, not measured: it uses a crystal structure in the Materials Project, relaxed with PBE+U and Cu Ka.
Intensities are scaled so that the largest is 100.

Structural model:
```
data_Li2VPO5
_chemical_formula_sum 'Li8 V4 P4 O20'
_cell_length_a 7.237
_cell_length_b 7.280
_cell_length_c 7.910
_cell_angle_alpha 88.54
_cell_angle_beta 89.69
_cell_angle_gamma 63.64
_symmetry_space_group_name_H-M 'P 1'
_symmetry_Int_Tables_number 1
loop_
_symmetry_equiv_pos_as_xyz
'x,y,z'
loop_
_atom_site_label
_atom_site_fract_x
_atom_site_fract_y
_atom_site_fract_z
Li1 0.000 0.000 0.000
Li2 0.012 0.261 0.493
Li3 0.327 0.923 0.610
Li4 0.370 0.131 0.088
Li5 0.444 0.423 0.111
Li6 0.669 0.581 0.572
Li7 0.800 0.110 0.331
Li8 0.877 0.742 0.986
V1 0.159 0.342 0.797
V2 0.187 0.797 0.305
V3 0.666 0.306 0.803
V4 0.676 0.813 0.300
P1 0.413 0.299 0.446
P2 0.417 0.797 0.941
P3 0.925 0.350 0.156
P4 0.929 0.840 0.652
O1 0.029 0.442 0.036
O2 0.038 0.936 0.531
O3 0.085 0.636 0.733
O4 0.086 0.136 0.230
O5 0.255 0.010 0.870
O6 0.271 0.499 0.350
O7 0.288 0.220 0.560
O8 0.300 0.714 0.061
O9 0.424 0.294 0.902
O10 0.437 0.794 0.391
O11 0.513 0.650 0.793
O12 0.517 0.143 0.300
O13 0.581 0.831 0.044
O14 0.587 0.320 0.543
O15 0.758 0.306 0.065
O16 0.761 0.811 0.552
O17 0.831 0.488 0.310
O18 0.834 0.985 0.805
O19 0.903 0.344 0.715
O20 0.912 0.857 0.207
```

Top 12 peaks for 2θ from 5° to 70°, most intense first:
two_theta  I (rel.)  index
27.07  100  2 1 1
27.35  100  0 2 0
27.21  64  2 1 -1
36.44  44  0 1 3
17.85  36  0 1 -1
18.40  32  1 1 -1
26.32  29  1 0 -2
43.46  29  0 3 -1
22.49  28  0 0 2
26.48  25  1 0 2
17.40  20  0 1 1
35.92  19  1 -2 0

Record 3
Diffraction record for Li2V2P2O9. The powder diffractogram is calculated, not measured: it uses a crystal structure in the Materials Project, relaxed with PBE+U and Cu Ka.
Intensities are scaled so that the largest is 100.

Structural model:
```
data_Li2V2P2O9
_chemical_formula_sum 'Li8 V8 P8 O36'
_cell_length_a 8.450
_cell_length_b 5.673
_cell_length_c 14.531
_cell_angle_alpha 90.00
_cell_angle_beta 90.00
_cell_angle_gamma 90.00
_symmetry_space_group_name_H-M 'P n m a'
_symmetry_Int_Tables_number 62
loop_
_symmetry_equiv_pos_as_xyz
'x,y,z'
'-x,-y,-z'
'-x+1/2,-y,z+1/2'
'x+1/2,y,-z+1/2'
'x+1/2,-y+1/2,-z+1/2'
'-x+1/2,y+1/2,z+1/2'
'-x,y+1/2,-z'
'x,-y+1/2,z'
loop_
_atom_site_label
_atom_site_fract_x
_atom_site_fract_y
_atom_site_fract_z
Li1 0.020 0.250 0.129
Li2 0.022 0.250 0.739
V1 0.000 0.000 0.500
V2 0.207 0.250 0.936
P1 0.171 0.750 0.070
P2 0.208 0.250 0.330
O1 0.012 0.750 0.016
O2 0.061 0.750 0.413
O3 0.066 0.250 0.406
O4 0.131 0.250 0.238
O5 0.149 0.750 0.173
O6 0.183 0.530 0.848
O7 0.237 0.019 0.538
```

Top 12 peaks for 2θ from 5° to 70°, most intense first:
two_theta  I (rel.)  index
12.18  100  0 0 2
24.16  27  0 1 3
16.09  22  1 0 2
32.38  17  3 0 1
26.39  15  1 1 3
38.28  14  1 2 3
33.90  12  1 2 1
32.24  11  2 1 3
34.68  11  0 1 5
38.73  11  2 2 1
37.75  10  3 1 2
64.75  10  3 2 7